# Mn5NiB2O10
Theoretical XRD peak list, Cu Kα. Input: a GGA+U-relaxed structure.

Top 6 peaks for 2θ = 15–90°, in order of rising 2θ:
d/Å, Position (°2θ), Rel. int., (hkl)
5.339, 16.60, 46, 0 1 2
2.670, 33.57, 100, 0 2 4
2.592, 34.61, 72, 1 2 0
2.093, 43.23, 28, 1 3 2
1.968, 46.14, 32, 1 3 3
1.563, 59.11, 31, 1 1 7

Crystal structure
Unit cell a=3.093 b=9.493 c=12.915 alpha=90.00 beta=90.00 gamma=90.00
Space group Pmc2_1 (No. 26)
Inequivalent atoms, fractional coordinates:
Mn 0.000 0.004 0.000 [2 per cell]
Mn 0.000 0.253 0.384 [2 per cell]
Mn 0.000 0.489 0.762 [2 per cell]
Mn 0.500 0.245 0.159 [2 per cell]
Mn 0.500 0.251 0.882 [2 per cell]
Ni 0.500 0.252 0.604 [2 per cell]
B 0.000 0.031 0.743 [2 per cell]
B 0.000 0.477 0.022 [2 per cell]
O 0.000 0.099 0.838 [2 per cell]
O 0.000 0.108 0.651 [2 per cell]
O 0.000 0.117 0.240 [2 per cell]
O 0.000 0.375 0.528 [2 per cell]
O 0.000 0.399 0.113 [2 per cell]
O 0.000 0.408 0.928 [2 per cell]
O 0.500 0.133 0.024 [2 per cell]
O 0.500 0.135 0.465 [2 per cell]
O 0.500 0.362 0.738 [2 per cell]
O 0.500 0.370 0.300 [2 per cell]